Entry 1:
Diffraction record for SrAg2I4O8. The powder XRD pattern is simulated, not measured: it uses the PBE geometry in Alexandria and Cu Kα X-rays.
Peak positions follow from Bragg's law for the DFT cell and can differ from measured ones.

Cell and atoms:
Unit cell a=7.580 b=7.580 c=7.580 alpha=119.27 beta=119.27 gamma=91.26
Fractional coordinates of all 15 atoms:
Sr: 0.000 0.000 0.000
Ag: 0.000 0.500 0.500
Ag: 0.500 0.000 0.500
I: 0.005 0.995 0.500
I: 0.495 0.505 0.500
I: 0.505 0.005 0.009
I: 0.995 0.495 0.991
O: 0.120 0.425 0.244
O: 0.124 0.819 0.244
O: 0.181 0.876 0.756
O: 0.425 0.181 0.305
O: 0.575 0.880 0.756
O: 0.819 0.575 0.695
O: 0.876 0.120 0.695
O: 0.880 0.124 0.305

Main lines, low angle first (2θ = 15–90°):
- d = 3.105 Å, intensity 100.0
- d = 2.709 Å, intensity 25.0
- d = 1.916 Å, intensity 15.1
- d = 1.895 Å, intensity 28.7
- d = 1.630 Å, intensity 28.7
- d = 1.604 Å, intensity 13.6

---

Entry 2:
Diffraction record for Nd3HoH8. The powder XRD pattern is simulated, not measured: it uses the PBE geometry in Alexandria and Cu Kα X-rays.
Peak positions follow from Bragg's law for the DFT cell and can differ from measured ones.

Cell and atoms:
Unit cell a=5.389 b=5.389 c=5.389 alpha=90.00 beta=90.00 gamma=90.00
Fractional coordinates of all 12 atoms:
Nd: 0.000 0.000 0.500
Nd: 0.000 0.500 0.000
Nd: 0.500 0.000 0.000
Ho: 0.500 0.500 0.500
H: 0.259 0.259 0.259
H: 0.259 0.259 0.741
H: 0.259 0.741 0.259
H: 0.259 0.741 0.741
H: 0.741 0.259 0.259
H: 0.741 0.259 0.741
H: 0.741 0.741 0.259
H: 0.741 0.741 0.741

Main lines, low angle first (2θ = 15–90°):
- d = 3.111 Å, intensity 100.0
- d = 2.694 Å, intensity 48.9
- d = 1.905 Å, intensity 38.2
- d = 1.625 Å, intensity 44.6
- d = 1.236 Å, intensity 18.0
- d = 1.205 Å, intensity 16.4